(1)
The following is a theoretical powder X-ray diffraction pattern of HoEr5Sb4. It was derived from a cell relaxed with PBE, using CuKα.
No peak broadening, texture or thermal motion is included.

Structure:
Unit cell a=18.4780 b=4.2721 c=8.3333 alpha=90.00 beta=105.96 gamma=90.00
Space group C2/m (No. 12)
Unique sites:
1 Ho 0.0000 0.0000 0.0000
2 Er 0.0000 0.0000 0.5000
3 Er 0.1624 0.5000 0.8182
4 Er 0.1799 0.5000 0.3503
5 Sb 0.0093 0.5000 0.2596
6 Sb 0.1697 0.0000 0.0845

Principal peaks in the range 2θ from 10° to 90°, low angle first:
25.7 deg, I = 17
30.0 deg, I = 100
30.2 deg, I = 46
42.3 deg, I = 58
43.5 deg, I = 18
43.9 deg, I = 31
52.8 deg, I = 19
69.8 deg, I = 16

---

(2)
The following is a theoretical powder X-ray diffraction pattern of Ho3ErSb2. It was derived from a cell relaxed with PBE, using CuKα.
No peak broadening, texture or thermal motion is included.

Structure:
Unit cell a=18.0396 b=4.2685 c=9.7081 alpha=90.00 beta=113.98 gamma=90.00
Space group C2/m (No. 12)
Unique sites:
1 Ho 0.0554 0.0000 0.1749
2 Ho 0.1443 0.5000 0.9769
3 Ho 0.1880 0.5000 0.3926
4 Er 0.1093 0.0000 0.6125
5 Sb 0.0080 0.5000 0.3451
6 Sb 0.2490 0.5000 0.7776

Principal peaks in the range 2θ from 10° to 90°, low angle first:
29.0 deg, I = 45
31.0 deg, I = 82
32.5 deg, I = 100
34.4 deg, I = 89
35.2 deg, I = 52
35.5 deg, I = 80
42.3 deg, I = 53
52.2 deg, I = 38

---

(3)
The following is a theoretical powder X-ray diffraction pattern of Ho2Er2Sb5. It was derived from a cell relaxed with PBE, using CuKα.
No peak broadening, texture or thermal motion is included.

Structure:
Unit cell a=15.5760 b=7.9420 c=8.1974 alpha=90.00 beta=90.00 gamma=90.00
Space group Cmce (No. 64)
Unique sites:
1 Ho 0.1912 0.0000 0.0000
2 Er 0.0000 0.1555 0.3397
3 Sb 0.0000 0.0000 0.0000
4 Sb 0.1405 0.1484 0.6479

Principal peaks in the range 2θ from 10° to 90°, low angle first:
27.5 deg, I = 41
30.0 deg, I = 100
31.4 deg, I = 39
32.8 deg, I = 36
34.1 deg, I = 78
34.6 deg, I = 43
35.2 deg, I = 69
36.1 deg, I = 63

---

(4)
The following is a theoretical powder X-ray diffraction pattern of Sm2HoEr3Sb6. It was derived from a cell relaxed with PBE, using CuKα.
No peak broadening, texture or thermal motion is included.

Structure:
Unit cell a=19.1508 b=4.3947 c=8.7890 alpha=90.00 beta=103.20 gamma=90.00
Space group C2/m (No. 12)
Unique sites:
1 Sm 0.1661 0.0000 0.3328
2 Ho 0.0000 0.5000 0.0000
3 Er 0.0000 0.5000 0.5000
4 Er 0.1676 0.0000 0.8339
5 Sb 0.0023 0.0000 0.7506
6 Sb 0.1650 0.5000 0.5878
7 Sb 0.1664 0.5000 0.0778

Principal peaks in the range 2θ from 10° to 90°, low angle first:
24.8 deg, I = 4
28.7 deg, I = 100
41.1 deg, I = 76
50.9 deg, I = 27
59.5 deg, I = 13
67.4 deg, I = 35
74.8 deg, I = 26
89.1 deg, I = 9

---

(5)
The following is a theoretical powder X-ray diffraction pattern of Ho7Er3Sc2. It was derived from a cell relaxed with PBE, using CuKα.
No peak broadening, texture or thermal motion is included.

Structure:
Unit cell a=5.6852 b=3.4964 c=18.1804 alpha=90.00 beta=93.56 gamma=90.00
Space group P2/m (No. 10)
Unique sites:
1 Ho 0.0000 0.0000 0.0000
2 Ho 0.1876 0.5000 0.1837
3 Ho 0.2579 0.5000 0.5382
4 Ho 0.3151 0.0000 0.8528
5 Er 0.2206 0.0000 0.3662
6 Er 0.5000 0.5000 0.0000
7 Sc 0.2912 0.5000 0.7043

Principal peaks in the range 2θ from 10° to 90°, low angle first:
29.5 deg, I = 40
31.6 deg, I = 50
31.9 deg, I = 100
32.3 deg, I = 29
32.7 deg, I = 27
33.1 deg, I = 39
34.5 deg, I = 22
38.5 deg, I = 27

---

(6)
The following is a theoretical powder X-ray diffraction pattern of HoEr4Sc2. It was derived from a cell relaxed with PBE, using CuKα.
No peak broadening, texture or thermal motion is included.

Structure:
Unit cell a=10.9815 b=10.9890 c=6.9616 alpha=90.00 beta=90.00 gamma=90.00
Space group Cmmm (No. 65)
Unique sites:
1 Ho 0.2500 0.2500 0.0000
2 Er 0.0000 0.2227 0.2554
3 Er 0.2220 0.0000 0.2554
4 Sc 0.0000 0.5000 0.0000
5 Sc 0.0000 0.5000 0.5000
6 Sc 0.2500 0.2500 0.5000

Principal peaks in the range 2θ from 10° to 90°, low angle first:
22.9 deg, I = 23
25.6 deg, I = 17
32.6 deg, I = 49
34.6 deg, I = 100
41.9 deg, I = 13
46.8 deg, I = 15
59.5 deg, I = 29
63.3 deg, I = 14

---

(7)
The following is a theoretical powder X-ray diffraction pattern of Ho2Er5Sc. It was derived from a cell relaxed with PBE, using CuKα.
No peak broadening, texture or thermal motion is included.

Structure:
Unit cell a=7.1051 b=11.0492 c=12.3113 alpha=90.00 beta=90.00 gamma=90.00
Space group Fmm2 (No. 42)
Unique sites:
1 Ho 0.0000 0.2463 0.0000
2 Er 0.0000 0.0000 0.3352
3 Er 0.2478 0.0000 0.5840
4 Er 0.2500 0.2500 0.2516
5 Sc 0.0000 0.0000 0.8346

Principal peaks in the range 2θ from 10° to 90°, low angle first:
29.0 deg, I = 25
32.4 deg, I = 24
33.3 deg, I = 100
44.1 deg, I = 16
51.4 deg, I = 20
58.4 deg, I = 20
62.1 deg, I = 22
62.7 deg, I = 16

---

(8)
The following is a theoretical powder X-ray diffraction pattern of Ho5Er5Sc2. It was derived from a cell relaxed with PBE, using CuKα.
No peak broadening, texture or thermal motion is included.

Structure:
Unit cell a=16.6536 b=5.4861 c=9.4679 alpha=90.00 beta=124.56 gamma=90.00
Space group C2/m (No. 12)
Unique sites:
1 Ho 0.0000 0.0000 0.0000
2 Ho 0.1237 0.0000 0.7867
3 Ho 0.1285 0.0000 0.4538
4 Er 0.0000 0.5000 0.5000
5 Er 0.1227 0.5000 0.9631
6 Er 0.2498 0.0000 0.2495
7 Sc 0.1251 0.5000 0.2946

Principal peaks in the range 2θ from 10° to 90°, low angle first:
32.2 deg, I = 99
32.7 deg, I = 100
46.5 deg, I = 30
58.0 deg, I = 19
58.1 deg, I = 18
58.3 deg, I = 13
64.1 deg, I = 19
64.1 deg, I = 9